Calculated PXRD pattern of KSnN for a wavelength of 1.5418 Å, from DFT lattice parameters and positions (PBE).

Largest 10 diffraction maxima, low angle first, 10 to 90 degrees two-theta:
(1 1 0), 17.47 deg, I 87
(0 2 0), 23.24 deg, I 100
(2 0 0), 26.28 deg, I 54
(0 0 1), 27.61 deg, I 23
(1 1 -1), 29.86 deg, I 48
(2 2 0), 35.36 deg, I 50
(1 1 1), 35.64 deg, I 43
(0 2 1), 36.40 deg, I 23
(2 2 -1), 40.87 deg, I 25
(1 1 -2), 56.44 deg, I 27

Atomic structure:
Unit cell a=7.008 b=7.654 c=3.338 alpha=90.00 beta=104.57 gamma=90.00
Space group Cm (No. 8)
One atom of each set of equivalent atoms:
K 0.000 0.000 0.000 x2
Sn 0.494 0.000 0.723 x2
N 0.182 0.500 0.322 x2



Calculated PXRD pattern of KH for a wavelength of 1.5418 Å, from DFT lattice parameters and positions (PBE).

Largest 10 diffraction maxima, low angle first, 10 to 90 degrees two-theta:
(1 1 1), 27.11 deg, I 100
(2 0 0), 31.41 deg, I 58
(2 2 0), 45.01 deg, I 37
(3 1 1), 53.34 deg, I 38
(2 2 2), 55.92 deg, I 12
(4 0 0), 65.55 deg, I 5
(3 3 1), 72.30 deg, I 14
(4 2 0), 74.49 deg, I 14
(4 2 2), 83.06 deg, I 10
(5 1 1), 89.37 deg, I 11

Atomic structure:
Unit cell a=5.696 b=5.696 c=5.696 alpha=90.00 beta=90.00 gamma=90.00
Space group Fm-3m (No. 225)
One atom of each set of equivalent atoms:
K 0.000 0.000 0.000 x4
H 0.000 0.000 0.500 x4



Calculated PXRD pattern of SiO2 for a wavelength of 1.5418 Å, from DFT lattice parameters and positions (PBE).

Largest 10 diffraction maxima, low angle first, 10 to 90 degrees two-theta:
(1 1 0), 10.50 deg, I 100
(0 2 0), 11.60 deg, I 11
(1 1 -1), 12.91 deg, I 30
(0 2 1), 15.47 deg, I 49
(2 0 0), 17.54 deg, I 13
(2 0 -1), 17.78 deg, I 20
(0 0 2), 20.47 deg, I 13
(1 1 2), 25.10 deg, I 10
(0 4 1), 25.50 deg, I 28
(3 1 -1), 26.33 deg, I 16

Atomic structure:
Unit cell a=10.496 b=15.256 c=9.006 alpha=90.00 beta=105.54 gamma=90.00
Space group Cm (No. 8)
One atom of each set of equivalent atoms:
Si 0.000 0.101 0.000 x4
Si 0.046 0.257 0.797 x4
Si 0.099 0.101 0.363 x4
Si 0.205 0.397 0.023 x4
Si 0.250 0.246 0.585 x4
Si 0.302 0.397 0.378 x4
O 0.020 0.000 0.948 x2
O 0.057 0.166 0.892 x4
O 0.081 0.115 0.180 x4
O 0.088 0.339 0.916 x4
O 0.144 0.252 0.686 x4
O 0.145 0.000 0.410 x2
O 0.165 0.500 0.997 x2
O 0.210 0.167 0.460 x4
O 0.223 0.370 0.202 x4
O 0.248 0.339 0.498 x4
O 0.276 0.500 0.408 x2
O 0.343 0.379 0.976 x4
O 0.396 0.225 0.695 x4
O 0.460 0.379 0.405 x4



Repeat the first record exactly.
Calculated PXRD pattern of KSnN for a wavelength of 1.5418 Å, from DFT lattice parameters and positions (PBE).

Largest 10 diffraction maxima, low angle first, 10 to 90 degrees two-theta:
(1 1 0), 17.47 deg, I 87
(0 2 0), 23.24 deg, I 100
(2 0 0), 26.28 deg, I 54
(0 0 1), 27.61 deg, I 23
(1 1 -1), 29.86 deg, I 48
(2 2 0), 35.36 deg, I 50
(1 1 1), 35.64 deg, I 43
(0 2 1), 36.40 deg, I 23
(2 2 -1), 40.87 deg, I 25
(1 1 -2), 56.44 deg, I 27

Atomic structure:
Unit cell a=7.008 b=7.654 c=3.338 alpha=90.00 beta=104.57 gamma=90.00
Space group Cm (No. 8)
One atom of each set of equivalent atoms:
K 0.000 0.000 0.000 x2
Sn 0.494 0.000 0.723 x2
N 0.182 0.500 0.322 x2



What is the formula in the first record?
KSnN